For CsAcFeO3, a PBE+U-relaxed structure gives the simulated powder diffractogram in this record (Cu Kα X-rays).
Peak positions follow from Bragg's law for the DFT cell and can differ from measured ones.

Top 10 peaks for 2θ from 10° to 90°, by angle:
10.1 deg, intensity 92.4, hkl 0 0 1; 12.8 deg, intensity 100.0, hkl 1 0 -1; 20.4 deg, intensity 34.5, hkl 0 0 2; 24.7 deg, intensity 82.2, hkl 0 1 1; 25.8 deg, intensity 94.2, hkl 2 0 -2; 26.5 deg, intensity 54.7, hkl 2 0 1; 30.5 deg, intensity 76.5, hkl 0 1 2; 30.7 deg, intensity 42.0, hkl 0 0 3; 31.4 deg, intensity 82.1, hkl 2 1 -1; 31.6 deg, intensity 93.9, hkl 2 1 0

Crystal structure
```
data_CsAcFeO3
_symmetry_space_group_name_H-M 'P 1 21/m 1'
_symmetry_Int_Tables_number 11
_cell_length_a 8.417
_cell_length_b 3.958
_cell_length_c 9.035
_cell_angle_alpha 90.00
_cell_angle_beta 105.09
_cell_angle_gamma 90.00
loop_
_symmetry_equiv_pos_as_xyz
'x,y,z'
'-x,-y,-z'
'-x,y+1/2,-z'
'x,-y+1/2,z'
loop_
_atom_site_label
_atom_site_fract_x
_atom_site_fract_y
_atom_site_fract_z
Cs1 0.182 0.250 0.188
Ac1 0.347 0.750 0.844
Fe1 0.060 0.250 0.621
O1 0.110 0.750 0.585
O2 0.153 0.250 0.845
O3 0.455 0.750 0.123
```